Record 1
Diffraction record for LiCuH4Cl3O2. The X-ray powder pattern is computed, not measured: it uses the GGA-PBE geometry in the Materials Project and copper Kα.

```
LiCuH4Cl3O2
1.0
6.1909 0.0000 0.0000
0.0000 11.2298 0.0000
-2.8174 0.0000 8.8773
Li Cu H Cl O
4 4 16 12 8
Direct
0.0600 0.0166 0.1630
0.0600 0.4834 0.6630
0.9400 0.5166 0.3370
0.9400 0.9834 0.8370
0.3316 0.5091 0.1160
0.3316 0.9909 0.6160
0.6684 0.0091 0.3840
0.6684 0.4909 0.8840
0.1091 0.6887 0.5508
0.1091 0.8113 0.0508
0.2962 0.2008 0.2396
0.2962 0.2992 0.7396
0.3062 0.6067 0.5368
0.3062 0.8933 0.0368
0.3870 0.1473 0.1154
0.3870 0.3527 0.6154
0.6130 0.6473 0.3846
0.6130 0.8527 0.8846
0.6938 0.1067 0.9632
0.6938 0.3933 0.4632
0.7038 0.7008 0.2604
0.7038 0.7992 0.7604
0.8909 0.1887 0.9492
0.8909 0.3113 0.4492
0.0441 0.6317 0.1218
0.0441 0.8683 0.6218
0.2952 0.1014 0.8181
0.2952 0.3986 0.3181
0.3911 0.6153 0.9161
0.3911 0.8847 0.4161
0.6089 0.1153 0.5839
0.6089 0.3847 0.0839
0.7048 0.6014 0.6819
0.7048 0.8986 0.1819
0.9559 0.1317 0.3782
0.9559 0.3683 0.8782
0.1418 0.6067 0.5237
0.1418 0.8933 0.0237
0.3300 0.1253 0.1982
0.3300 0.3747 0.6982
0.6700 0.6253 0.3018
0.6700 0.8747 0.8018
0.8582 0.1067 0.9763
0.8582 0.3933 0.4763
```

Top 6 peaks for 15° ≤ 2θ ≤ 90°, in order of falling intensity:
(0 2 0), 2θ 15.78, 5.615 Å, rel. 100.0; (1 1 1), 2θ 21.92, 4.055 Å, rel. 90.7; (1 2 -3), 2θ 33.53, 2.673 Å, rel. 54.6; (1 2 1), 2θ 25.91, 3.438 Å, rel. 49.0; (2 3 -1), 2θ 37.72, 2.385 Å, rel. 43.1; (1 1 2), 2θ 29.70, 3.008 Å, rel. 39.4

=====

Record 2
Diffraction record for CeSe2. The X-ray powder pattern is computed, not measured: it uses the GGA-PBE geometry in the Materials Project and copper Kα.

```
CeSe2
1.0
8.4888 0.0000 0.0000
1.0065 8.8081 0.0000
3.4988 3.8718 10.4026
Ce Se
4 8
Direct
0.0000 0.0000 0.0000
0.0609 0.9154 0.4536
0.4828 0.9836 0.6434
0.7911 0.5649 0.8627
0.0233 0.6162 0.6350
0.0856 0.8926 0.2224
0.2736 0.1229 0.8047
0.3509 0.0216 0.4492
0.5094 0.6716 0.7932
0.7765 0.2433 0.0057
0.7981 0.0957 0.5322
0.8652 0.7481 0.9826
```

Top 6 peaks for 15° ≤ 2θ ≤ 90°, in order of falling intensity:
(1 1 2), 2θ 17.09, 5.188 Å, rel. 100.0; (1 0 -1), 2θ 15.64, 5.666 Å, rel. 76.0; (1 -1 0), 2θ 15.35, 5.771 Å, rel. 57.8; (2 1 0), 2θ 24.48, 3.636 Å, rel. 38.2; (0 2 -1), 2θ 25.85, 3.446 Å, rel. 35.2; (1 0 2), 2θ 17.49, 5.069 Å, rel. 34.5